(1)
Structure and computed powder diffractogram of BaMgSn2Br8 (the GGA-PBE geometry in Alexandria; λ = 1.5418 Å (Cu Kα)).
Neutral-atom scattering factors, no anomalous dispersion.

Most intense lines, 2θ = 10–90°, in order of rising 2θ:
2θ (°)	intensity	h k l
17.84	90	1 1 0
18.38	90	1 -1 0
26.39	80	1 1 2
26.64	63	1 1 -2
28.73	75	1 -2 0
35.67	100	-2 1 2

Lattice parameters (Å, degrees): 6.7635 7.1081 9.1267 89.37 89.86 88.30
Atoms (fractional coordinates):
Ba1 0.0000 0.0000 0.0000
Mg1 0.0000 0.0000 0.5000
Sn1 0.4900 0.4868 0.2691
Sn2 0.5100 0.5132 0.7309
Br1 0.2188 0.8343 0.2905
Br2 0.2414 0.8589 0.7122
Br3 0.2431 0.3213 0.4840
Br4 0.2746 0.3605 0.0190
Br5 0.7254 0.6395 0.9810
Br6 0.7569 0.6787 0.5160
Br7 0.7586 0.1411 0.2878
Br8 0.7812 0.1657 0.7095

(2)
Structure and computed powder diffractogram of LiTb2Sm2 (the GGA-PBE geometry in Alexandria; λ = 1.5418 Å (Cu Kα)).
Neutral-atom scattering factors, no anomalous dispersion.

Most intense lines, 2θ = 10–90°, in order of rising 2θ:
2θ (°)	intensity	h k l
10.01	57	0 0 2
20.91	80	1 0 1
30.35	46	0 0 6
30.61	100	1 1 2
35.42	89	1 1 4
41.27	52	2 0 0

Lattice parameters (Å, degrees): 4.3759 4.3759 17.6731 90.00 90.00 90.00
Atoms (fractional coordinates):
Li1 0.0000 0.0000 0.0000
Li2 0.5000 0.5000 0.5000
Tb1 0.0000 0.5000 0.2500
Tb2 0.0000 0.5000 0.7500
Tb3 0.5000 0.0000 0.2500
Tb4 0.5000 0.0000 0.7500
Sm1 0.0000 0.0000 0.4088
Sm2 0.0000 0.0000 0.5912
Sm3 0.5000 0.5000 0.0912
Sm4 0.5000 0.5000 0.9088